Calculated XRD peak list of Pm4YAl2 for Cu Kα, from a cell relaxed with PBE.
Intensities are scaled so that the largest is 100.

Crystal structure
```
data_Pm4YAl2
_chemical_formula_sum 'Pm12 Y3 Al6'
_space_group_name_H-M_alt 'R -3 m'
_space_group_IT_number 166
_space_group_name_Hall '-R 3 2"'
_cell_length_a 5.3518
_cell_length_b 5.3518
_cell_length_c 24.3002
_cell_angle_alpha 90.00
_cell_angle_beta 90.00
_cell_angle_gamma 120.00
loop_
_atom_site_label
_atom_site_type_symbol
_atom_site_fract_x
_atom_site_fract_y
_atom_site_fract_z
_atom_site_occupancy
Pm1 Pm 0.0000 0.0000 0.0880 1
Pm2 Pm 0.0000 0.0000 0.3478 1
Y1 Y 0.0000 0.0000 0.5000 1
Al1 Al 0.0000 0.0000 0.2197 1
```

The 10 most intense peaks (2θ = 10–90°), low angle first:
2θ/deg  d/Å  I/Imax  (hkl)
10.9  8.100  15  0 0 3
24.2  3.685  32  1 0 4
26.6  3.354  39  0 1 5
32.2  2.779  83  1 0 7
33.5  2.676  100  1 1 0
47.2  1.927  28  0 2 7
57.0  1.615  18  1 1 12
59.1  1.564  29  2 1 7
59.9  1.545  19  3 0 0
79.5  1.205  13  1 3 7